# 1
Simulated X-ray diffraction stick pattern of Ba3Sn2Rh2 for Cu Kα (weighted mean of Kα1 and Kα2), from a DFT-relaxed cell (PBE, Alexandria).
Lines closer than 0.1° are merged.

Main lines, low angle first (2θ = 10–90°):
| d (Å) | Position (°2θ) | intensity |
| --- | --- | --- |
| 3.287 | 27.13 | 43 |
| 3.087 | 28.92 | 52 |
| 3.016 | 29.62 | 42 |
| 2.940 | 30.40 | 29 |
| 2.827 | 31.65 | 32 |
| 2.696 | 33.23 | 69 |
| 2.611 | 34.35 | 100 |
| 2.598 | 34.52 | 25 |
| 2.447 | 36.73 | 31 |
| 2.362 | 38.10 | 22 |

Structure:
```
Ba3Sn2Rh2
1.0
6.5859 0.0000 0.0000
0.0000 8.8661 0.0000
0.0000 0.0000 14.6815
Ba Sn Rh
12 8 8
Cartesian
0.9840 2.0386 3.6704 Ba
0.9840 2.3944 11.0111 Ba
2.2936 5.3545 8.7171 Ba
2.2936 5.3545 13.3052 Ba
2.2936 7.9446 1.3764 Ba
2.2936 7.9446 5.9644 Ba
4.2923 0.9215 8.7171 Ba
4.2923 0.9215 13.3052 Ba
4.2923 3.5116 1.3764 Ba
4.2923 3.5116 5.9644 Ba
5.6019 6.4717 3.6704 Ba
5.6019 6.8275 11.0111 Ba
0.7407 2.2165 0.0000 Sn
0.7407 2.2165 7.3408 Sn
2.1395 5.1935 3.6704 Sn
2.1395 8.1056 11.0111 Sn
4.4464 0.7605 3.6704 Sn
4.4464 3.6726 11.0111 Sn
5.8452 6.6496 0.0000 Sn
5.8452 6.6496 7.3408 Sn
0.8061 4.7028 1.2903 Rh
0.8061 4.7028 6.0505 Rh
0.8061 8.5963 8.6310 Rh
0.8061 8.5963 13.3913 Rh
5.7799 0.2698 1.2903 Rh
5.7799 0.2698 6.0505 Rh
5.7799 4.1633 8.6310 Rh
5.7799 4.1633 13.3913 Rh
```

=====

# 2
Simulated X-ray diffraction stick pattern of BaZnSnRh for Cu Kα (weighted mean of Kα1 and Kα2), from a DFT-relaxed cell (PBE, Alexandria).
Lines closer than 0.1° are merged.

Main lines, low angle first (2θ = 10–90°):
| d (Å) | Position (°2θ) | intensity |
| --- | --- | --- |
| 6.023 | 14.71 | 36 |
| 3.824 | 23.26 | 45 |
| 3.011 | 29.67 | 30 |
| 2.958 | 30.22 | 57 |
| 2.655 | 33.76 | 92 |
| 2.259 | 39.90 | 100 |
| 1.807 | 50.50 | 41 |
| 1.721 | 53.24 | 25 |
| 1.640 | 56.06 | 19 |
| 1.369 | 68.56 | 24 |

Structure:
```
BaZnSnRh
1.0
4.5184 0.0000 0.0000
-2.2592 3.9131 0.0000
0.0000 0.0000 18.0682
Ba Zn Sn Rh
3 3 3 3
Cartesian
0.0000 0.0000 0.0000 Ba
0.0000 2.6087 12.0454 Ba
2.2592 1.3044 6.0227 Ba
0.0000 0.0000 8.4010 Zn
0.0000 2.6087 2.3782 Zn
2.2592 1.3044 14.4237 Zn
0.0000 0.0000 3.4995 Sn
0.0000 2.6087 15.5449 Sn
2.2592 1.3044 9.5222 Sn
0.0000 0.0000 14.5704 Rh
0.0000 2.6087 8.5477 Rh
2.2592 1.3044 2.5250 Rh
```

=====

# 3
Simulated X-ray diffraction stick pattern of Ba2Sr2Rh for Cu Kα (weighted mean of Kα1 and Kα2), from a DFT-relaxed cell (PBE, Alexandria).
Lines closer than 0.1° are merged.

Main lines, low angle first (2θ = 10–90°):
| d (Å) | Position (°2θ) | intensity |
| --- | --- | --- |
| 6.194 | 14.30 | 19 |
| 6.079 | 14.57 | 30 |
| 3.553 | 25.06 | 100 |
| 3.097 | 28.83 | 94 |
| 3.039 | 29.39 | 45 |
| 2.190 | 41.22 | 35 |
| 2.169 | 41.63 | 69 |
| 1.864 | 48.85 | 32 |
| 1.777 | 51.43 | 37 |
| 1.260 | 75.42 | 24 |

Structure:
```
Ba2Sr2Rh
1.0
6.1940 0.0000 0.0000
0.0000 6.1940 0.0000
0.0000 0.0000 6.0787
Ba Sr Rh
2 2 1
Cartesian
0.0000 3.0970 0.0000 Ba
3.0970 0.0000 0.0000 Ba
0.0000 0.0000 3.0394 Sr
3.0970 3.0970 3.0394 Sr
0.0000 0.0000 0.0000 Rh
```

=====

# 4
Simulated X-ray diffraction stick pattern of Ba3SrRh for Cu Kα (weighted mean of Kα1 and Kα2), from a DFT-relaxed cell (PBE, Alexandria).
Lines closer than 0.1° are merged.

Main lines, low angle first (2θ = 10–90°):
| d (Å) | Position (°2θ) | intensity |
| --- | --- | --- |
| 7.295 | 12.13 | 22 |
| 5.505 | 16.10 | 39 |
| 3.649 | 24.39 | 100 |
| 3.617 | 24.61 | 24 |
| 3.349 | 26.62 | 38 |
| 2.974 | 30.05 | 45 |
| 2.627 | 34.14 | 22 |
| 2.613 | 34.33 | 19 |
| 2.297 | 39.22 | 24 |
| 2.029 | 44.65 | 35 |

Structure:
```
Ba3SrRh
1.0
8.4470 0.0000 0.0000
0.0000 8.4470 0.0000
0.0000 0.0000 14.4682
Ba Sr Rh
12 4 4
Cartesian
0.2467 2.7086 0.0000 Ba
0.7190 1.5644 6.8921 Ba
1.5644 7.7279 3.2751 Ba
2.7011 3.5256 3.5800 Ba
2.7086 8.2003 10.8511 Ba
3.5256 5.7459 14.4311 Ba
4.9214 2.7011 7.1970 Ba
5.7384 0.2467 3.6170 Ba
5.7459 4.9214 10.8141 Ba
6.8826 0.7190 10.5092 Ba
7.7279 6.8826 14.1262 Ba
8.2003 5.7384 7.2341 Ba
1.4689 3.9568 10.4688 Sr
3.9568 6.9780 6.8518 Sr
4.4902 1.4689 14.0859 Sr
6.9780 4.4902 3.2347 Sr
0.9126 5.1065 1.6114 Rh
3.3405 0.9126 5.2285 Rh
5.1065 7.5344 12.4626 Rh
7.5344 3.3405 8.8455 Rh
```

=====

# 5
Simulated X-ray diffraction stick pattern of BaSrRh2 for Cu Kα (weighted mean of Kα1 and Kα2), from a DFT-relaxed cell (PBE, Alexandria).
Lines closer than 0.1° are merged.

Main lines, low angle first (2θ = 10–90°):
| d (Å) | Position (°2θ) | intensity |
| --- | --- | --- |
| 4.862 | 18.25 | 51 |
| 3.352 | 26.60 | 64 |
| 3.173 | 28.12 | 69 |
| 2.790 | 32.08 | 44 |
| 2.776 | 32.25 | 37 |
| 2.603 | 34.45 | 100 |
| 2.380 | 37.79 | 69 |
| 2.313 | 38.93 | 51 |
| 1.729 | 52.95 | 58 |
| 1.663 | 55.25 | 41 |

Structure:
```
BaSrRh2
1.0
4.6267 0.0000 0.0000
0.0000 5.8567 0.0000
0.0000 0.0000 8.7189
Ba Sr Rh
2 2 4
Cartesian
0.0000 0.9623 0.0000 Ba
0.0000 4.8945 4.3594 Ba
2.3134 1.9780 3.1157 Sr
2.3134 3.8787 7.4752 Sr
0.0000 1.9178 5.7076 Rh
0.0000 3.9389 1.3481 Rh
2.3134 1.1423 6.0799 Rh
2.3134 4.7144 1.7204 Rh
```

=====

# 6
Simulated X-ray diffraction stick pattern of Ba7SrRh3 for Cu Kα (weighted mean of Kα1 and Kα2), from a DFT-relaxed cell (PBE, Alexandria).
Lines closer than 0.1° are merged.

Main lines, low angle first (2θ = 10–90°):
| d (Å) | Position (°2θ) | intensity |
| --- | --- | --- |
| 7.400 | 11.96 | 28 |
| 3.700 | 24.05 | 11 |
| 3.449 | 25.83 | 100 |
| 2.684 | 33.39 | 44 |
| 2.257 | 39.94 | 12 |
| 2.245 | 40.17 | 24 |
| 2.088 | 43.34 | 20 |
| 2.077 | 43.57 | 10 |
| 1.887 | 48.21 | 12 |
| 1.529 | 60.57 | 10 |

Structure:
```
Ba7SrRh3
1.0
7.4003 -4.5145 0.0000
7.4003 4.5145 0.0000
-7.3588 0.0000 7.7634
Ba Sr Rh
7 1 3
Cartesian
0.0000 0.0000 0.0000 Ba
0.0910 2.1684 3.7548 Ba
4.0777 2.3495 6.4690 Ba
4.0966 0.0000 2.4802 Ba
0.0910 -2.1684 3.7548 Ba
0.1098 0.0000 7.7136 Ba
4.0777 -2.3495 6.4690 Ba
11.5678 0.0000 2.5440 Sr
5.7503 2.2674 1.2486 Rh
-1.6161 0.0000 5.1133 Rh
5.7503 -2.2674 1.2486 Rh
```

=====

# 7
Simulated X-ray diffraction stick pattern of BaSr3Rh for Cu Kα (weighted mean of Kα1 and Kα2), from a DFT-relaxed cell (PBE, Alexandria).
Lines closer than 0.1° are merged.

Main lines, low angle first (2θ = 10–90°):
| d (Å) | Position (°2θ) | intensity |
| --- | --- | --- |
| 5.325 | 16.65 | 64 |
| 4.792 | 18.52 | 33 |
| 3.841 | 23.16 | 41 |
| 3.695 | 24.09 | 55 |
| 3.329 | 26.78 | 52 |
| 3.203 | 27.85 | 53 |
| 2.945 | 30.35 | 80 |
| 2.859 | 31.29 | 100 |
| 2.104 | 42.98 | 35 |
| 2.002 | 45.30 | 38 |

Structure:
```
BaSr3Rh
1.0
4.7917 -6.4226 0.0000
4.7917 6.4226 0.0000
0.0000 0.0000 7.3892
Ba Sr Rh
2 6 2
Cartesian
4.7917 5.3380 5.5419 Ba
4.7917 -5.3380 1.8473 Ba
2.8894 3.7749 1.8473 Sr
6.6940 3.7749 1.8473 Sr
4.7917 0.0000 0.0000 Sr
4.7917 0.0000 3.6946 Sr
2.8894 -3.7749 5.5419 Sr
6.6940 -3.7749 5.5419 Sr
4.7917 2.5145 5.5419 Rh
4.7917 -2.5145 1.8473 Rh
```

=====

# 8
Simulated X-ray diffraction stick pattern of BaSr3Rh for Cu Kα (weighted mean of Kα1 and Kα2), from a DFT-relaxed cell (PBE, Alexandria).
Lines closer than 0.1° are merged.

Main lines, low angle first (2θ = 10–90°):
| d (Å) | Position (°2θ) | intensity |
| --- | --- | --- |
| 4.643 | 19.12 | 100 |
| 3.690 | 24.12 | 35 |
| 3.283 | 27.16 | 38 |
| 3.095 | 28.85 | 45 |
| 2.843 | 31.47 | 65 |
| 2.425 | 37.08 | 55 |
| 2.321 | 38.79 | 24 |
| 1.895 | 48.00 | 31 |
| 1.798 | 50.78 | 24 |
| 1.340 | 70.23 | 26 |

Structure:
```
BaSr3Rh
1.0
0.0000 8.0413 8.0413
8.0413 0.0000 8.0413
8.0413 8.0413 0.0000
Ba Sr Rh
4 12 4
Cartesian
0.0000 0.0000 0.0000 Ba
4.0207 4.0207 0.0000 Ba
4.0207 0.0000 4.0207 Ba
0.0000 4.0207 4.0207 Ba
6.0310 6.0310 3.1450 Sr
6.0310 3.1450 6.0310 Sr
8.9170 6.0310 6.0310 Sr
10.0516 10.0516 7.1657 Sr
10.0516 7.1657 10.0516 Sr
12.9376 10.0516 10.0516 Sr
3.1450 6.0310 6.0310 Sr
6.0310 8.9170 6.0310 Sr
6.0310 6.0310 8.9170 Sr
7.1657 10.0516 10.0516 Sr
10.0516 12.9376 10.0516 Sr
10.0516 10.0516 12.9376 Sr
8.0413 4.0207 4.0207 Rh
4.0207 8.0413 4.0207 Rh
4.0207 4.0207 8.0413 Rh
8.0413 8.0413 8.0413 Rh
```